Theoretical powder X-ray diffraction pattern
Compound: Sr5Mn5O13
Radiation: CuKα
Structure: a DFT-relaxed cell (GGA+U, Alexandria)
No peak broadening, texture or thermal motion is included.

The 12 most intense peaks (15 to 90 degrees two-theta), in order of falling intensity:
2θ = 32.46°, rel. 100, hkl 1 2 1
2θ = 32.25°, rel. 54, hkl 3 1 0
2θ = 57.65°, rel. 37, hkl 5 0 1
2θ = 46.26°, rel. 33, hkl 2 4 0
2θ = 58.03°, rel. 19, hkl 3 1 2
2θ = 67.97°, rel. 19, hkl 2 4 2
2θ = 46.86°, rel. 18, hkl 0 0 2
2θ = 39.95°, rel. 17, hkl 3 1 1
2θ = 67.50°, rel. 8, hkl 6 2 0
2θ = 86.19°, rel. 8, hkl 6 2 2
2θ = 77.80°, rel. 8, hkl 1 2 3
2θ = 76.91°, rel. 7, hkl 3 6 1

Cell lengths 8.7765, 8.7765, 3.8774 Å; angles 90.00, 90.00, 90.00 degrees
Element x y z (fractional)
Sr  0.0000  0.0000  0.0000
Sr  0.2190  0.3876  0.0000
Sr  0.3876  0.7810  0.0000
Sr  0.6124  0.2190  0.0000
Sr  0.7810  0.6124  0.0000
Mn  0.1000  0.6984  0.5000
Mn  0.3016  0.1000  0.5000
Mn  0.5000  0.5000  0.5000
Mn  0.6984  0.9000  0.5000
Mn  0.9000  0.3016  0.5000
O  0.0832  0.6631  0.0000
O  0.0992  0.2114  0.5000
O  0.2114  0.9008  0.5000
O  0.2861  0.5717  0.5000
O  0.3369  0.0832  0.0000
O  0.4283  0.2861  0.5000
O  0.5000  0.5000  0.0000
O  0.5717  0.7139  0.5000
O  0.6631  0.9168  0.0000
O  0.7139  0.4283  0.5000
O  0.7886  0.0992  0.5000
O  0.9008  0.7886  0.5000
O  0.9168  0.3369  0.0000